# 1
For Np2CuTe2N2, DFT lattice parameters and positions (PBE) gives the simulated X-ray powder pattern in this record (λ = 1.5418 Å (Cu Kα)).
Lines closer than 0.1° are merged.

Peak list (6 most intense, 2θ = 10–90°, sorted by position)
2θ/deg, d/Å, I/Imax
27.9, 3.195, 100
30.8, 2.906, 77
35.0, 2.561, 51
40.3, 2.236, 33
47.6, 1.912, 44
61.8, 1.501, 34

Cell and atoms:
```
Np2CuTe2N2
1.0
3.824 0.000 0.000
-1.912 3.312 0.000
0.000 0.000 12.119
Np Cu Te N
2 1 2 2
direct
0.333 0.667 0.115
0.667 0.333 0.885
0.000 0.000 0.500
0.000 0.000 0.299
0.000 0.000 0.701
0.333 0.667 0.930
0.667 0.333 0.070
```


# 2
For CuSNO3, DFT lattice parameters and positions (PBE) gives the simulated X-ray powder pattern in this record (λ = 1.5418 Å (Cu Kα)).
Lines closer than 0.1° are merged.

Peak list (6 most intense, 2θ = 10–90°, sorted by position)
2θ/deg, d/Å, I/Imax
11.7, 7.564, 100
18.5, 4.808, 84
19.7, 4.514, 96
31.5, 2.841, 78
33.1, 2.707, 51
48.3, 1.886, 30

Cell and atoms:
```
CuSNO3
1.0
2.841 1.640 7.564
-2.841 1.640 7.564
0.000 -3.280 7.564
Cu S N O
2 2 2 6
direct
0.212 0.212 0.212
0.788 0.788 0.788
0.115 0.115 0.115
0.885 0.885 0.885
0.357 0.357 0.357
0.643 0.643 0.643
0.050 0.050 0.619
0.050 0.619 0.050
0.381 0.950 0.950
0.619 0.050 0.050
0.950 0.381 0.950
0.950 0.950 0.381
```


# 3
For Pa2CuPN5, DFT lattice parameters and positions (PBE) gives the simulated X-ray powder pattern in this record (λ = 1.5418 Å (Cu Kα)).
Lines closer than 0.1° are merged.

Peak list (6 most intense, 2θ = 10–90°, sorted by position)
2θ/deg, d/Å, I/Imax
15.9, 5.568, 55
27.1, 3.285, 41
28.6, 3.116, 39
28.9, 3.087, 100
34.7, 2.588, 55
38.7, 2.326, 99

Cell and atoms:
```
Pa2CuPN5
1.0
1.604 -6.570 0.000
1.604 6.570 0.000
0.000 0.000 10.489
Pa Cu P N
4 2 2 10
direct
0.120 0.880 0.500
0.154 0.846 0.167
0.846 0.154 0.667
0.880 0.120 0.000
0.202 0.798 0.897
0.798 0.202 0.397
0.439 0.561 0.247
0.561 0.439 0.747
0.048 0.952 0.830
0.289 0.711 0.525
0.330 0.670 0.171
0.349 0.651 0.838
0.486 0.514 0.620
0.514 0.486 0.120
0.651 0.349 0.338
0.670 0.330 0.671
0.711 0.289 0.025
0.952 0.048 0.330
```


# 4
For Pa2CuPN6, DFT lattice parameters and positions (PBE) gives the simulated X-ray powder pattern in this record (λ = 1.5418 Å (Cu Kα)).
Lines closer than 0.1° are merged.

Peak list (6 most intense, 2θ = 10–90°, sorted by position)
2θ/deg, d/Å, I/Imax
19.3, 4.602, 37
24.8, 3.589, 33
31.6, 2.830, 100
35.4, 2.538, 37
40.6, 2.222, 28
61.2, 1.515, 31

Cell and atoms:
```
Pa2CuPN6
1.0
5.075 0.000 0.000
0.000 5.075 0.000
0.000 0.000 4.602
Pa Cu P N
2 1 1 6
direct
0.000 0.500 0.000
0.500 0.000 0.000
0.000 0.000 0.568
0.500 0.500 0.557
0.000 0.000 0.127
0.270 0.270 0.688
0.270 0.730 0.688
0.500 0.500 0.199
0.730 0.270 0.688
0.730 0.730 0.688
```


# 5
For PmPa2CuN5, DFT lattice parameters and positions (PBE) gives the simulated X-ray powder pattern in this record (λ = 1.5418 Å (Cu Kα)).
Lines closer than 0.1° are merged.

Peak list (6 most intense, 2θ = 10–90°, sorted by position)
2θ/deg, d/Å, I/Imax
26.0, 3.421, 52
28.0, 3.182, 96
28.2, 3.165, 68
32.4, 2.761, 61
33.5, 2.677, 46
36.1, 2.489, 100

Cell and atoms:
```
PmPa2CuN5
1.0
1.771 -6.616 0.000
1.771 6.616 0.000
0.000 0.000 10.887
Pm Pa Cu N
2 4 2 10
direct
0.145 0.855 0.500
0.855 0.145 0.000
0.093 0.907 0.806
0.180 0.820 0.201
0.820 0.180 0.701
0.907 0.093 0.306
0.462 0.538 0.557
0.538 0.462 0.057
0.007 0.993 0.135
0.270 0.730 0.836
0.313 0.687 0.578
0.346 0.654 0.180
0.498 0.502 0.881
0.502 0.498 0.381
0.654 0.346 0.680
0.687 0.313 0.078
0.730 0.270 0.336
0.993 0.007 0.635
```


# 6
For RbPa2CuN4, DFT lattice parameters and positions (PBE) gives the simulated X-ray powder pattern in this record (λ = 1.5418 Å (Cu Kα)).
Lines closer than 0.1° are merged.

Peak list (6 most intense, 2θ = 10–90°, sorted by position)
2θ/deg, d/Å, I/Imax
19.8, 4.488, 18
22.4, 3.976, 23
30.0, 2.976, 100
31.8, 2.811, 37
52.2, 1.754, 24
55.6, 1.653, 36

Cell and atoms:
```
RbPa2CuN4
1.0
-2.811 2.811 4.488
2.811 -2.811 4.488
2.811 2.811 -4.488
Rb Pa Cu N
1 2 1 4
direct
0.000 0.000 0.000
0.250 0.750 0.500
0.750 0.250 0.500
0.500 0.500 0.000
0.142 0.142 0.597
0.455 0.858 0.000
0.545 0.545 0.403
0.858 0.455 0.000
```


# 7
For Cu11PdN4, DFT lattice parameters and positions (PBE) gives the simulated X-ray powder pattern in this record (λ = 1.5418 Å (Cu Kα)).
Lines closer than 0.1° are merged.

Peak list (6 most intense, 2θ = 10–90°, sorted by position)
2θ/deg, d/Å, I/Imax
23.4, 3.808, 46
40.6, 2.221, 100
46.3, 1.963, 21
47.8, 1.904, 39
68.7, 1.367, 23
84.1, 1.151, 22

Cell and atoms:
```
Cu11PdN4
1.0
7.617 0.000 0.000
0.000 7.617 0.000
0.000 0.000 3.925
Cu Pd N
11 1 4
direct
0.000 0.000 0.000
0.000 0.250 0.500
0.000 0.500 0.000
0.000 0.750 0.500
0.249 0.500 0.500
0.250 0.000 0.500
0.500 0.000 0.000
0.500 0.249 0.500
0.500 0.751 0.500
0.750 0.000 0.500
0.751 0.500 0.500
0.500 0.500 0.000
0.000 0.000 0.500
0.000 0.500 0.500
0.500 0.000 0.500
0.500 0.500 0.500
```


# 8
For Cu12PdN4, DFT lattice parameters and positions (PBE) gives the simulated X-ray powder pattern in this record (λ = 1.5418 Å (Cu Kα)).
Lines closer than 0.1° are merged.

Peak list (6 most intense, 2θ = 10–90°, sorted by position)
2θ/deg, d/Å, I/Imax
11.9, 7.455, 13
41.1, 2.195, 100
45.8, 1.981, 22
48.9, 1.864, 36
69.2, 1.358, 23
86.1, 1.130, 21

Cell and atoms:
```
Cu12PdN4
1.0
7.455 0.000 0.000
0.000 7.455 0.000
0.000 0.000 3.963
Cu Pd N
12 1 4
direct
0.000 0.249 0.000
0.000 0.751 0.000
0.244 0.500 0.000
0.246 0.246 0.500
0.246 0.754 0.500
0.249 0.000 0.000
0.500 0.244 0.000
0.500 0.756 0.000
0.751 0.000 0.000
0.754 0.246 0.500
0.754 0.754 0.500
0.756 0.500 0.000
0.500 0.500 0.500
0.000 0.000 0.000
0.000 0.500 0.000
0.500 0.000 0.000
0.500 0.500 0.000
```